1.
Computed powder X-ray diffraction pattern
Compound: UBiO5
Radiation: λ = 1.5418 Å (Cu Kα)
Structure: a cell relaxed with GGA-PBE

Top 10 peaks for 2θ from 10° to 90°, in order of rising 2θ:
| 2θ/deg | I_rel |
| --- | --- |
| 17.0 | 50.7 |
| 20.3 | 33.6 |
| 22.2 | 46.9 |
| 23.4 | 46.0 |
| 25.2 | 57.2 |
| 28.1 | 77.7 |
| 28.3 | 100.0 |
| 29.3 | 48.0 |
| 48.5 | 31.5 |
| 50.2 | 24.3 |

Cell: 7.5029 7.9915 10.4211 Å, 90.00 133.15 90.00°
Space group P2_1/c (No. 14)
Inequivalent atoms, fractional coordinates:
U (0.1576, 0.0016, 0.3136)
Bi (0.4298, 0.1147, 0.8214)
O (0.0567, 0.2380, 0.6946)
O (0.1371, 0.0955, 0.4656)
O (0.2119, 0.6023, 0.6826)
O (0.2612, 0.0026, 0.9116)
O (0.4785, 0.6459, 0.0531)


2.
Computed powder X-ray diffraction pattern
Compound: U2Bi2O7
Radiation: λ = 1.5418 Å (Cu Kα)
Structure: a cell relaxed with GGA-PBE

Top 10 peaks for 2θ from 10° to 90°, in order of rising 2θ:
| 2θ/deg | I_rel |
| --- | --- |
| 28.3 | 100.0 |
| 32.0 | 13.6 |
| 33.2 | 25.1 |
| 46.7 | 31.9 |
| 47.5 | 7.9 |
| 54.7 | 7.9 |
| 54.8 | 7.9 |
| 56.2 | 15.4 |
| 56.4 | 15.3 |
| 76.7 | 8.3 |

Cell: 7.6217 3.8273 11.1974 Å, 90.00 90.00 90.00°
Space group Pmma (No. 51)
Inequivalent atoms, fractional coordinates:
U (0.0000, 0.0000, 0.0000)
U (0.2500, 0.5000, 0.2446)
Bi (0.0000, 0.0000, 0.5000)
Bi (0.2500, 0.5000, 0.7381)
O (0.0128, 0.5000, 0.3671)
O (0.0153, 0.5000, 0.1177)
O (0.2500, 0.0000, 0.1218)
O (0.2500, 0.0000, 0.3473)
O (0.2500, 0.0000, 0.8942)


3.
Computed powder X-ray diffraction pattern
Compound: U3Bi2O9
Radiation: λ = 1.5418 Å (Cu Kα)
Structure: a cell relaxed with GGA-PBE

Top 10 peaks for 2θ from 10° to 90°, in order of rising 2θ:
| 2θ/deg | I_rel |
| --- | --- |
| 28.3 | 100.0 |
| 31.8 | 14.1 |
| 33.3 | 24.6 |
| 46.7 | 32.6 |
| 47.7 | 15.5 |
| 54.5 | 16.8 |
| 56.4 | 30.5 |
| 58.5 | 11.1 |
| 75.4 | 13.6 |
| 88.2 | 11.2 |

Cell: 3.8097 3.8097 28.1425 Å, 90.00 90.00 90.00°
Space group I-4m2 (No. 119)
Inequivalent atoms, fractional coordinates:
U (0.0000, 0.0000, 0.0000)
U (0.0000, 0.0000, 0.4008)
Bi (0.0000, 0.0000, 0.2011)
O (0.0000, 0.5000, 0.0478)
O (0.0000, 0.5000, 0.1427)
O (0.0000, 0.5000, 0.2500)
O (0.0000, 0.5000, 0.5464)
O (0.0000, 0.5000, 0.6388)


4.
Computed powder X-ray diffraction pattern
Compound: U8Bi2O19
Radiation: λ = 1.5418 Å (Cu Kα)
Structure: a cell relaxed with GGA-PBE

Top 10 peaks for 2θ from 10° to 90°, in order of rising 2θ:
| 2θ/deg | I_rel |
| --- | --- |
| 28.4 | 100.0 |
| 32.6 | 13.0 |
| 33.0 | 24.9 |
| 47.1 | 32.7 |
| 47.4 | 16.1 |
| 55.6 | 16.0 |
| 56.2 | 31.2 |
| 58.7 | 10.9 |
| 76.0 | 11.8 |
| 88.0 | 11.6 |

Cell: 3.8347 3.8350 27.4763 Å, 89.94 89.98 90.00°
Space group P1 (No. 1)
Inequivalent atoms, fractional coordinates:
U (0.0000, 0.0000, 0.0000)
U (0.9998, 0.0030, 0.8003)
U (0.4956, 0.5025, 0.5006)
U (0.4971, 0.5048, 0.3009)
U (0.4984, 0.5025, 0.8998)
U (0.5006, 0.5019, 0.7004)
U (0.9948, 0.0008, 0.4011)
U (0.9981, 0.0027, 0.6004)
Bi (0.0004, 0.0111, 0.1992)
Bi (0.5023, 0.4980, 0.1019)
O (0.0001, 0.5015, 0.6504)
O (0.0014, 0.5028, 0.7503)
O (0.0023, 0.4987, 0.0425)
O (0.4944, 0.0017, 0.4514)
O (0.4947, 0.0008, 0.3534)
O (0.4967, 0.0036, 0.5506)
O (0.4986, 0.0008, 0.9477)
O (0.4988, 0.0035, 0.8496)
O (0.4997, 0.0013, 0.6505)
O (0.5000, 0.0091, 0.2578)
O (0.5007, 0.0020, 0.7503)
O (0.5011, 0.9981, 0.1509)
O (0.5020, 0.9992, 0.0434)
O (0.9944, 0.5014, 0.4510)
O (0.9950, 0.5007, 0.3527)
O (0.9959, 0.5037, 0.5504)
O (0.9984, 0.5036, 0.8497)
O (0.9986, 0.5009, 0.9478)
O (0.9989, 0.5094, 0.2577)


5.
Computed powder X-ray diffraction pattern
Compound: U2Bi18O31
Radiation: λ = 1.5418 Å (Cu Kα)
Structure: a cell relaxed with GGA-PBE

Top 10 peaks for 2θ from 10° to 90°, in order of rising 2θ:
| 2θ/deg | I_rel |
| --- | --- |
| 27.7 | 100.0 |
| 28.5 | 27.6 |
| 32.3 | 50.3 |
| 45.8 | 33.8 |
| 46.8 | 21.4 |
| 54.3 | 16.5 |
| 54.8 | 27.7 |
| 55.7 | 9.1 |
| 57.1 | 7.8 |
| 76.0 | 9.3 |

Cell: 3.9611 3.9657 62.7847 Å, 91.77 90.02 119.93°
Space group P1 (No. 1)
Inequivalent atoms, fractional coordinates:
U (0.0000, 0.0000, 0.0000)
U (0.3475, 0.6940, 0.0480)
Bi (0.0438, 0.0861, 0.1381)
Bi (0.0973, 0.1919, 0.2978)
Bi (0.1453, 0.2892, 0.4421)
Bi (0.1978, 0.3947, 0.6009)
Bi (0.2469, 0.4925, 0.7474)
Bi (0.2959, 0.5902, 0.8941)
Bi (0.3959, 0.7902, 0.1941)
Bi (0.4451, 0.8888, 0.3424)
Bi (0.4962, 0.9914, 0.4957)
Bi (0.5472, 0.0935, 0.6490)
Bi (0.5966, 0.1918, 0.7964)
Bi (0.6456, 0.2892, 0.9434)
Bi (0.6968, 0.3914, 0.0968)
Bi (0.7480, 0.4943, 0.2495)
Bi (0.7937, 0.5864, 0.3882)
Bi (0.8466, 0.6912, 0.5462)
Bi (0.8972, 0.7933, 0.6985)
Bi (0.9462, 0.8911, 0.8455)
O (0.0105, 0.0202, 0.0361)
O (0.0621, 0.1228, 0.1925)
O (0.1092, 0.2177, 0.3342)
O (0.1565, 0.3114, 0.4759)
O (0.2101, 0.4192, 0.6378)
O (0.2352, 0.4689, 0.7128)
O (0.2586, 0.5162, 0.7821)
O (0.2827, 0.5641, 0.8549)
O (0.3102, 0.6186, 0.9372)
O (0.3350, 0.6684, 0.0137)
O (0.3589, 0.7173, 0.0826)
O (0.4071, 0.8124, 0.2280)
O (0.4632, 0.9256, 0.3967)
O (0.5110, 0.0203, 0.5392)
O (0.5350, 0.0686, 0.6126)
O (0.5592, 0.1175, 0.6842)
O (0.5833, 0.1652, 0.7564)
O (0.6099, 0.2185, 0.8366)
O (0.6340, 0.2664, 0.9090)
O (0.6612, 0.3197, 0.9951)
O (0.6845, 0.3681, 0.0593)
O (0.7122, 0.4232, 0.1432)
O (0.7606, 0.5194, 0.2874)
O (0.8122, 0.6232, 0.4426)
O (0.8334, 0.6650, 0.5070)
O (0.8581, 0.7153, 0.5814)
O (0.8834, 0.7657, 0.6575)
O (0.9105, 0.8196, 0.7381)
O (0.9346, 0.8677, 0.8110)
O (0.9578, 0.9147, 0.8800)
O (0.9872, 0.9714, 0.9698)


6.
Computed powder X-ray diffraction pattern
Compound: UBi2O6
Radiation: λ = 1.5418 Å (Cu Kα)
Structure: a cell relaxed with GGA-PBE

Top 10 peaks for 2θ from 10° to 90°, in order of rising 2θ:
| 2θ/deg | I_rel |
| --- | --- |
| 27.4 | 35.4 |
| 28.0 | 100.0 |
| 32.3 | 59.3 |
| 45.9 | 29.5 |
| 46.6 | 35.6 |
| 54.3 | 19.5 |
| 54.9 | 32.6 |
| 55.2 | 15.9 |
| 57.8 | 12.3 |
| 75.1 | 13.5 |

Cell: 3.8966 3.8966 9.7601 Å, 90.00 90.00 120.00°
Space group P-3m1 (No. 164)
Inequivalent atoms, fractional coordinates:
U (0.0000, 0.0000, 0.0000)
Bi (0.3333, 0.6667, 0.6573)
O (0.0000, 0.0000, 0.2097)
O (0.3333, 0.6667, 0.0446)
O (0.3333, 0.6667, 0.4193)